No. 1
Starting from the PBE geometry in OQMD, the powder X-ray diffraction pattern of Hf2Al2FeCoIr2 was computed for λ = 1.5418 Å (Cu Kα).

The 6 most intense peaks (5° ≤ 2θ ≤ 70°), in order of rising 2θ:
two_theta  I_rel
24.92  46
28.86  1
41.26  100
48.81  24
59.78  17
65.78  10

Crystal structure
abc: 4.375 4.375 6.190
angles: 90.00 90.00 90.00
Element x y z (fractional)
Hf: 0.000 0.500 0.250
Hf: 0.500 0.000 0.750
Al: 0.000 0.500 0.750
Al: 0.500 0.000 0.250
Fe: 0.000 0.000 0.500
Co: 0.500 0.500 0.000
Ir: 0.000 0.000 0.000
Ir: 0.500 0.500 0.500

---

No. 2
Starting from the PBE geometry in OQMD, the powder X-ray diffraction pattern of KAl3Ga6Co2 was computed for λ = 1.5418 Å (Cu Kα).

The 10 most intense peaks (5° ≤ 2θ ≤ 70°), in order of rising 2θ:
two_theta  I_rel
12.84  56
23.18  15
32.41  41
34.41  40
34.99  51
41.91  100
45.57  29
46.03  49
47.39  29
67.85  16

Crystal structure
abc: 7.962 7.962 3.837
angles: 90.00 90.00 120.00
Element x y z (fractional)
K: 0.000 0.000 0.000
Al: 0.000 0.500 0.000
Al: 0.500 0.000 0.000
Al: 0.500 0.500 0.000
Ga: 0.210 0.420 0.500
Ga: 0.210 0.790 0.500
Ga: 0.420 0.210 0.500
Ga: 0.580 0.790 0.500
Ga: 0.790 0.210 0.500
Ga: 0.790 0.580 0.500
Co: 0.333 0.667 0.000
Co: 0.667 0.333 0.000

---

No. 3
Starting from the PBE geometry in OQMD, the powder X-ray diffraction pattern of Nd3AlGaCo4 was computed for λ = 1.5418 Å (Cu Kα).

The 10 most intense peaks (5° ≤ 2θ ≤ 70°), in order of rising 2θ:
two_theta  I_rel
26.50  82
31.09  53
32.64  28
34.57  100
35.53  34
38.60  55
39.08  27
41.83  46
44.30  47
62.93  24

Crystal structure
abc: 5.500 5.500 8.342
angles: 98.74 98.74 43.65
Element x y z (fractional)
Nd: 0.000 0.000 0.000
Nd: 0.373 0.373 0.622
Nd: 0.625 0.625 0.376
Al: 0.676 0.676 0.782
Ga: 0.323 0.323 0.220
Co: 0.084 0.084 0.634
Co: 0.260 0.260 0.919
Co: 0.741 0.741 0.082
Co: 0.917 0.917 0.367

---

Please write out number 2 again, unchanged.
Starting from the PBE geometry in OQMD, the powder X-ray diffraction pattern of KAl3Ga6Co2 was computed for λ = 1.5418 Å (Cu Kα).

The 10 most intense peaks (5° ≤ 2θ ≤ 70°), in order of rising 2θ:
two_theta  I_rel
12.84  56
23.18  15
32.41  41
34.41  40
34.99  51
41.91  100
45.57  29
46.03  49
47.39  29
67.85  16

Crystal structure
abc: 7.962 7.962 3.837
angles: 90.00 90.00 120.00
Element x y z (fractional)
K: 0.000 0.000 0.000
Al: 0.000 0.500 0.000
Al: 0.500 0.000 0.000
Al: 0.500 0.500 0.000
Ga: 0.210 0.420 0.500
Ga: 0.210 0.790 0.500
Ga: 0.420 0.210 0.500
Ga: 0.580 0.790 0.500
Ga: 0.790 0.210 0.500
Ga: 0.790 0.580 0.500
Co: 0.333 0.667 0.000
Co: 0.667 0.333 0.000